Record 1
Diffraction record for Ac2B4Ir5. The PXRD pattern is computed, not measured: it uses a GGA-PBE-relaxed structure and Cu Kα (weighted mean of Kα1 and Kα2).
Peak positions follow from Bragg's law for the DFT cell and can differ from measured ones.

Structural model:
a b c (Å): 5.6262 10.3701 11.4827
angles (deg): 90.00 90.00 90.00
Space group Fmmm (No. 69)
Symmetry-distinct sites (fractional):
Ac  0.0000  0.0000  0.1450
B  0.0000  0.1628  0.3715
Ir  0.0000  0.0000  0.5000
Ir  0.2500  0.2500  0.0000
Ir  0.2500  0.2500  0.2500

Largest 10 diffraction maxima, most intense first, 10° ≤ 2θ ≤ 90°:
d (Å)  I (rel.)  index
2.473  100  2 2 0
3.027  62  1 1 3
2.593  57  0 4 0
2.511  49  0 2 4
2.334  34  1 3 3
2.009  28  2 0 4
1.588  25  2 4 4
1.473  22  2 6 0
1.241  17  2 2 8
1.873  15  2 2 4

Record 2
Diffraction record for Ac3B7Ir. The PXRD pattern is computed, not measured: it uses a GGA-PBE-relaxed structure and Cu Kα (weighted mean of Kα1 and Kα2).
Peak positions follow from Bragg's law for the DFT cell and can differ from measured ones.

Structural model:
a b c (Å): 4.1678 11.2566 7.8960
angles (deg): 90.00 98.93 90.00
Space group P2_1/m (No. 11)
Symmetry-distinct sites (fractional):
Ac  0.2001  0.2500  0.0323
Ac  0.2772  0.5659  0.3095
B  0.0591  0.1655  0.3882
B  0.1789  0.2500  0.5696
B  0.2298  0.6082  0.7620
B  0.3561  0.5338  0.9352
Ir  0.4474  0.7500  0.6189

Largest 10 diffraction maxima, most intense first, 10° ≤ 2θ ≤ 90°:
d (Å)  I (rel.)  index
3.381  100  0 3 1
3.900  85  1 0 -1
2.773  72  1 3 0
2.703  72  0 3 2
3.206  60  0 2 2
3.685  59  1 1 -1
2.928  48  1 2 1
2.600  43  0 0 3
2.565  43  1 1 2
2.383  35  1 3 -2

Record 3
Diffraction record for KAcB12. The PXRD pattern is computed, not measured: it uses a GGA-PBE-relaxed structure and Cu Kα (weighted mean of Kα1 and Kα2).
Peak positions follow from Bragg's law for the DFT cell and can differ from measured ones.

Structural model:
a b c (Å): 8.4395 8.4395 8.4395
angles (deg): 90.00 90.00 90.00
Space group Fm-3m (No. 225)
Symmetry-distinct sites (fractional):
K  0.0000  0.0000  0.0000
Ac  0.0000  0.0000  0.5000
B  0.1018  0.2500  0.2500

Largest 10 diffraction maxima, most intense first, 10° ≤ 2θ ≤ 90°:
d (Å)  I (rel.)  index
2.984  100  2 2 0
4.873  89  1 1 1
4.220  58  2 0 0
2.545  55  3 1 1
1.887  49  4 2 0
2.436  42  2 2 2
1.407  29  4 4 2
1.723  26  4 2 2
1.936  26  3 3 1
2.110  22  4 0 0

Record 4
Diffraction record for K3Ac3BO8. The PXRD pattern is computed, not measured: it uses a GGA-PBE-relaxed structure and Cu Kα (weighted mean of Kα1 and Kα2).
Peak positions follow from Bragg's law for the DFT cell and can differ from measured ones.

Structural model:
a b c (Å): 13.1643 7.1565 7.2824
angles (deg): 90.00 117.89 90.00
Space group C2/m (No. 12)
Symmetry-distinct sites (fractional):
K  0.0000  0.0000  0.0000
K  0.2500  0.2500  0.0000
Ac  0.0000  0.5000  0.5000
Ac  0.2500  0.2500  0.5000
B  0.0000  0.0000  0.5000
O  0.0330  0.1583  0.3872
O  0.1912  0.5000  0.2503
O  0.2095  0.5000  0.7030

Largest 10 diffraction maxima, most intense first, 10° ≤ 2θ ≤ 90°:
d (Å)  I (rel.)  index
6.437  100  0 0 1
3.048  52  2 2 0
2.546  42  2 2 -2
2.909  31  4 0 0
3.218  29  0 0 2
3.060  25  2 2 -1
2.951  22  4 0 -2
1.983  19  2 2 2
3.291  18  4 0 -1
5.093  17  1 1 -1

Record 5
Diffraction record for KAc3B4S12. The PXRD pattern is computed, not measured: it uses a GGA-PBE-relaxed structure and Cu Kα (weighted mean of Kα1 and Kα2).
Peak positions follow from Bragg's law for the DFT cell and can differ from measured ones.

Structural model:
a b c (Å): 13.1247 13.1247 11.7671
angles (deg): 90.00 90.00 120.00
Space group R32 (No. 155, hexagonal axes)
Symmetry-distinct sites (fractional):
K  0.0000  0.0000  0.0000
Ac  0.0000  0.5244  0.0000
B  0.0000  0.0000  0.5000
B  0.0000  0.4721  0.5000
S  0.0000  0.6110  0.5000
S  0.0000  0.8615  0.5000
S  0.0043  0.1946  0.8243

Largest 10 diffraction maxima, most intense first, 10° ≤ 2θ ≤ 90°:
d (Å)  I (rel.)  index
4.088  100  2 0 2
5.118  74  0 2 1
2.517  51  2 2 3
2.613  30  0 2 4
2.779  27  3 1 2
2.762  27  4 0 1
6.562  25  1 1 0
3.281  25  2 2 0
8.175  22  1 0 1
4.036  22  2 1 1

Record 6
Diffraction record for AcLaB12. The PXRD pattern is computed, not measured: it uses a GGA-PBE-relaxed structure and Cu Kα (weighted mean of Kα1 and Kα2).
Peak positions follow from Bragg's law for the DFT cell and can differ from measured ones.

Structural model:
a b c (Å): 8.3624 8.3624 8.3624
angles (deg): 90.00 90.00 90.00
Space group Fm-3m (No. 225)
Symmetry-distinct sites (fractional):
Ac  0.0000  0.0000  0.0000
La  0.0000  0.0000  0.5000
B  0.1001  0.2500  0.2500

Largest 10 diffraction maxima, most intense first, 10° ≤ 2θ ≤ 90°:
d (Å)  I (rel.)  index
2.957  100  2 2 0
4.181  73  2 0 0
1.870  51  4 2 0
2.414  42  2 2 2
1.707  30  4 2 2
1.394  28  4 4 2
2.091  21  4 0 0
1.322  20  6 2 0
1.117  19  6 4 2
1.261  14  6 2 2

Record 7
Diffraction record for AcLaBN3. The PXRD pattern is computed, not measured: it uses a GGA-PBE-relaxed structure and Cu Kα (weighted mean of Kα1 and Kα2).
Peak positions follow from Bragg's law for the DFT cell and can differ from measured ones.

Structural model:
a b c (Å): 5.8360 5.8360 6.4440
angles (deg): 90.00 90.00 120.00
Space group P6_3/mmc (No. 194)
Symmetry-distinct sites (fractional):
Ac  0.3333  0.6667  0.2500
La  0.0000  0.0000  0.0000
B  0.3333  0.6667  0.7500
N  0.1877  0.3754  0.7500

Largest 10 diffraction maxima, most intense first, 10° ≤ 2θ ≤ 90°:
d (Å)  I (rel.)  index
2.918  100  1 1 0
3.977  94  1 0 1
2.717  83  1 0 2
2.353  41  2 0 1
1.988  39  2 0 2
1.643  33  2 1 2
1.832  28  2 1 1
1.410  23  1 1 4
1.685  20  3 0 0
1.285  17  3 1 2

Record 8
Diffraction record for AcLaBO5. The PXRD pattern is computed, not measured: it uses a GGA-PBE-relaxed structure and Cu Kα (weighted mean of Kα1 and Kα2).
Peak positions follow from Bragg's law for the DFT cell and can differ from measured ones.

Structural model:
a b c (Å): 7.1624 9.0823 7.5515
angles (deg): 90.00 90.00 90.00
Space group Cmcm (No. 63)
Symmetry-distinct sites (fractional):
Ac  0.0000  0.0000  0.0000
La  0.0000  0.3999  0.2500
B  0.0000  0.2617  0.7500
O  0.0000  0.1509  0.2500
O  0.0000  0.3538  0.5886
O  0.1644  0.1536  0.7500

Largest 10 diffraction maxima, most intense first, 10° ≤ 2θ ≤ 90°:
d (Å)  I (rel.)  index
3.135  100  1 1 2
3.581  63  2 0 0
4.541  34  0 2 0
1.970  33  3 1 2
2.789  28  1 3 0
2.812  25  2 2 0
5.624  24  1 1 0
2.243  22  1 3 2
1.710  19  2 4 2
2.903  18  0 2 2

Record 9
Diffraction record for LiAc2BO5. The PXRD pattern is computed, not measured: it uses a GGA-PBE-relaxed structure and Cu Kα (weighted mean of Kα1 and Kα2).
Peak positions follow from Bragg's law for the DFT cell and can differ from measured ones.

Structural model:
a b c (Å): 7.0896 7.0896 5.3091
angles (deg): 90.00 90.00 90.00
Space group P4/mbm (No. 127)
Symmetry-distinct sites (fractional):
Li  0.0000  0.0000  0.0000
Ac  0.1838  0.3162  0.5000
B  0.0000  0.5000  0.0000
O  0.0000  0.0000  0.5000
O  0.1131  0.6131  0.2130

Largest 10 diffraction maxima, most intense first, 10° ≤ 2θ ≤ 90°:
d (Å)  I (rel.)  index
5.309  100  0 0 1
2.722  82  2 1 1
2.948  47  2 0 1
2.035  43  2 1 2
3.171  41  2 1 0
1.636  31  4 1 1
3.545  27  2 0 0
1.443  20  4 1 2
1.719  19  4 1 0
2.655  17  0 0 2

Record 10
Diffraction record for LiAc2BRh6. The PXRD pattern is computed, not measured: it uses a GGA-PBE-relaxed structure and Cu Kα (weighted mean of Kα1 and Kα2).
Peak positions follow from Bragg's law for the DFT cell and can differ from measured ones.

Structural model:
a b c (Å): 6.2391 6.2752 8.8491
angles (deg): 90.00 90.00 90.00
Space group Immm (No. 71)
Symmetry-distinct sites (fractional):
Li  0.0000  0.0000  0.0000
Ac  0.0000  0.5000  0.2511
B  0.0000  0.0000  0.5000
Rh  0.0000  0.0000  0.2633
Rh  0.2380  0.2353  0.5000

Largest 10 diffraction maxima, most intense first, 10° ≤ 2θ ≤ 90°:
d (Å)  I (rel.)  index
2.212  100  2 2 0
2.559  97  0 2 2
2.550  96  2 0 2
1.564  44  2 2 4
1.332  36  4 2 2
1.336  36  0 2 6
3.130  23  0 2 0
4.424  22  1 1 0
1.569  11  0 4 0
1.560  11  4 0 0

Record 11
Diffraction record for AcMgB12. The PXRD pattern is computed, not measured: it uses a GGA-PBE-relaxed structure and Cu Kα (weighted mean of Kα1 and Kα2).
Peak positions follow from Bragg's law for the DFT cell and can differ from measured ones.

Structural model:
a b c (Å): 4.1621 4.1621 8.3254
angles (deg): 90.00 90.00 90.00
Space group P4/mmm (No. 123)
Symmetry-distinct sites (fractional):
Ac  0.0000  0.0000  0.0000
Mg  0.0000  0.0000  0.5000
B  0.2008  0.5000  0.2541
B  0.5000  0.5000  0.1021
B  0.5000  0.5000  0.4013

Largest 10 diffraction maxima, most intense first, 10° ≤ 2θ ≤ 90°:
d (Å)  I (rel.)  index
2.943  100  1 1 0
8.325  97  0 0 1
3.723  68  1 0 1
4.162  56  1 0 0
1.861  50  2 1 0
2.403  43  1 1 2
2.775  40  0 0 3
1.387  30  2 2 2
1.699  26  2 1 2
2.019  26  2 0 1

Record 12
Diffraction record for Ac2MgBPt6. The PXRD pattern is computed, not measured: it uses a GGA-PBE-relaxed structure and Cu Kα (weighted mean of Kα1 and Kα2).
Peak positions follow from Bragg's law for the DFT cell and can differ from measured ones.

Structural model:
a b c (Å): 5.8802 5.8802 19.9928
angles (deg): 90.00 90.00 120.00
Space group R-3m (No. 166, hexagonal axes)
Symmetry-distinct sites (fractional):
Ac  0.0000  0.0000  0.2199
Mg  0.0000  0.0000  0.5000
B  0.0000  0.0000  0.0000
Pt  0.0153  0.5076  0.2732

Largest 10 diffraction maxima, most intense first, 10° ≤ 2θ ≤ 90°:
d (Å)  I (rel.)  index
2.467  100  2 0 2
2.269  62  0 2 4
3.145  38  0 1 5
3.332  27  0 0 6
2.491  26  1 0 7
1.470  24  2 2 0
1.772  21  1 1 9
2.690  20  1 1 3
1.596  18  2 1 7
1.263  12  0 4 2